The following is a theoretical powder XRD pattern of KEu2CuS6. It was derived from a GGA-PBE-relaxed structure, using Cu Kα X-rays.

Largest 6 diffraction maxima, in order of rising 2θ, 2θ = 5–70°:
(0 0 4), 2θ = 8.29°, d 10.660, intensity 100; (0 2 6), 2θ = 20.63°, d 4.305, intensity 33; (2 2 4), 2θ = 28.44°, d 3.138, intensity 31; (2 0 10), 2θ = 30.12°, d 2.967, intensity 48; (2 2 12), 2θ = 37.29°, d 2.412, intensity 32; (2 2 16), 2θ = 43.75°, d 2.069, intensity 26

Cell and atoms:
a b c (Å): 8.262 10.821 42.638
angles (deg): 90.00 90.00 90.00
Space group Fddd (No. 70, origin choice 2)
Inequivalent atoms, fractional coordinates:
K1 0.125 0.374 0.125 (multiplicity 16)
Eu1 0.125 0.125 0.032 (multiplicity 16)
Eu2 0.125 0.125 0.534 (multiplicity 16)
Cu1 0.125 0.125 0.459 (multiplicity 16)
S1 0.109 0.373 0.015 (multiplicity 32)
S2 0.120 0.283 0.323 (multiplicity 32)
S3 0.124 0.278 0.830 (multiplicity 32)